Record 1
The following is a theoretical powder diffractogram of Sr2Co2O5. It was derived from a GGA+U-relaxed structure, using a wavelength of 1.5418 Å.
Kinematic intensities with the Lorentz-polarization factor, no thermal factor.

Peak list (6 most intense, 5° ≤ 2θ ≤ 70°, sorted by position)
Position (°2θ)	intensity
30.59	50
31.24	51
31.38	62
31.67	100
31.88	44
46.25	28

Atomic structure:
a = 5.616 Å, b = 5.645 Å, c = 5.665 Å
α = 117.73°, β = 119.26°, γ = 91.57°
Atoms (fractional coordinates):
Sr1 0.000 0.000 0.000
Sr2 0.492 0.500 0.999
Co1 0.282 0.797 0.552
Co2 0.751 0.198 0.461
O1 0.001 0.526 0.637
O2 0.344 0.488 0.343
O3 0.487 0.000 0.006
O4 0.575 0.103 0.622
O5 0.963 0.919 0.398

---

Record 2
The following is a theoretical powder diffractogram of TlV3Se2O12. It was derived from a GGA+U-relaxed structure, using a wavelength of 1.5418 Å.
Kinematic intensities with the Lorentz-polarization factor, no thermal factor.

Peak list (6 most intense, 5° ≤ 2θ ≤ 70°, sorted by position)
Position (°2θ)	intensity
20.76	36
24.87	43
26.81	26
29.16	100
29.79	31
33.59	29

Atomic structure:
a = 7.161 Å, b = 7.161 Å, c = 11.820 Å
α = 90.00°, β = 90.00°, γ = 120.00°
Atoms (fractional coordinates):
Tl1 0.333 0.667 0.000
Tl2 0.667 0.333 0.500
V1 0.128 0.795 0.673
V2 0.205 0.333 0.673
V3 0.333 0.128 0.173
V4 0.667 0.872 0.673
V5 0.795 0.667 0.173
V6 0.872 0.205 0.173
Se1 0.000 0.000 0.393
Se2 0.000 0.000 0.893
Se3 0.333 0.667 0.449
Se4 0.667 0.333 0.949
O1 0.084 0.542 0.699
O2 0.120 0.254 0.830
O3 0.124 0.252 0.141
O4 0.127 0.876 0.141
O5 0.133 0.880 0.830
O6 0.199 0.414 0.511
O7 0.215 0.801 0.511
O8 0.252 0.127 0.641
O9 0.254 0.133 0.330
O10 0.414 0.215 0.011
O11 0.458 0.542 0.699
O12 0.458 0.916 0.699
O13 0.542 0.084 0.199
O14 0.542 0.458 0.199
O15 0.586 0.785 0.511
O16 0.746 0.867 0.830
O17 0.748 0.873 0.141
O18 0.785 0.199 0.011
O19 0.801 0.586 0.011
O20 0.867 0.120 0.330
O21 0.873 0.124 0.641
O22 0.876 0.748 0.641
O23 0.880 0.746 0.330
O24 0.916 0.458 0.199

---

Record 3
The following is a theoretical powder diffractogram of Li6CrFe3P6O24. It was derived from a GGA+U-relaxed structure, using a wavelength of 1.5418 Å.
Kinematic intensities with the Lorentz-polarization factor, no thermal factor.

Peak list (6 most intense, 5° ≤ 2θ ≤ 70°, sorted by position)
Position (°2θ)	intensity
20.22	43
20.61	57
23.93	100
24.05	49
32.80	39
35.40	36

Atomic structure:
a = 8.572 Å, b = 8.621 Å, c = 8.622 Å
α = 61.37°, β = 61.39°, γ = 61.40°
Atoms (fractional coordinates):
Li1 0.000 0.000 0.000
Li2 0.090 0.502 0.902
Li3 0.275 0.854 0.650
Li4 0.500 0.690 0.305
Li5 0.725 0.350 0.147
Li6 0.905 0.098 0.494
Cr1 0.106 0.701 0.507
Fe1 0.396 0.991 0.790
Fe2 0.603 0.210 0.008
Fe3 0.897 0.495 0.302
P1 0.205 0.095 0.191
P2 0.298 0.598 0.106
P3 0.499 0.388 0.611
P4 0.703 0.896 0.401
P5 0.794 0.809 0.903
P6 0.999 0.302 0.699
O1 0.015 0.258 0.221
O2 0.055 0.462 0.669
O3 0.137 0.537 0.143
O4 0.157 0.109 0.720
O5 0.186 0.933 0.383
O6 0.220 0.048 0.032
O7 0.269 0.650 0.268
O8 0.295 0.770 0.924
O9 0.337 0.582 0.588
O10 0.377 0.138 0.149
O11 0.447 0.227 0.643
O12 0.489 0.440 0.083
O13 0.514 0.914 0.561
O14 0.551 0.357 0.772
O15 0.622 0.850 0.860
O16 0.660 0.414 0.417
O17 0.702 0.078 0.230
O18 0.736 0.733 0.346
O19 0.780 0.967 0.949
O20 0.816 0.615 0.064
O21 0.842 0.278 0.893
O22 0.865 0.863 0.458
O23 0.941 0.335 0.540
O24 0.983 0.781 0.739

---

Record 4
The following is a theoretical powder diffractogram of V2AsO6. It was derived from a GGA+U-relaxed structure, using a wavelength of 1.5418 Å.
Kinematic intensities with the Lorentz-polarization factor, no thermal factor.

Peak list (6 most intense, 5° ≤ 2θ ≤ 70°, sorted by position)
Position (°2θ)	intensity
26.08	86
27.00	90
27.92	80
33.46	40
35.12	100
60.08	37

Atomic structure:
a = 4.842 Å, b = 9.035 Å, c = 9.644 Å
α = 90.00°, β = 90.00°, γ = 90.00°
Atoms (fractional coordinates):
V1 0.103 0.168 0.391
V2 0.113 0.506 0.404
V3 0.387 0.494 0.904
V4 0.397 0.832 0.891
V5 0.603 0.332 0.609
V6 0.613 0.994 0.596
V7 0.887 0.006 0.096
V8 0.897 0.668 0.109
As1 0.114 0.159 0.809
As2 0.386 0.841 0.309
As3 0.614 0.341 0.191
As4 0.886 0.659 0.691
O1 0.082 0.154 0.985
O2 0.087 0.838 0.019
O3 0.105 0.515 0.006
O4 0.206 0.662 0.772
O5 0.212 0.678 0.266
O6 0.212 0.999 0.252
O7 0.288 0.001 0.752
O8 0.288 0.322 0.766
O9 0.294 0.338 0.272
O10 0.395 0.485 0.506
O11 0.413 0.162 0.519
O12 0.418 0.846 0.485
O13 0.582 0.346 0.015
O14 0.587 0.662 0.981
O15 0.605 0.985 0.994
O16 0.706 0.838 0.228
O17 0.712 0.501 0.748
O18 0.712 0.822 0.734
O19 0.788 0.178 0.234
O20 0.788 0.499 0.248
O21 0.794 0.162 0.728
O22 0.895 0.015 0.494
O23 0.913 0.338 0.481
O24 0.918 0.654 0.515

---

Record 5
The following is a theoretical powder diffractogram of Si2WO6. It was derived from a GGA+U-relaxed structure, using a wavelength of 1.5418 Å.
Kinematic intensities with the Lorentz-polarization factor, no thermal factor.

Peak list (6 most intense, 5° ≤ 2θ ≤ 70°, sorted by position)
Position (°2θ)	intensity
13.57	100
19.26	92
24.67	32
28.62	62
30.63	45
33.68	25

Atomic structure:
a = 6.747 Å, b = 6.747 Å, c = 5.440 Å
α = 104.75°, β = 104.75°, γ = 86.24°
Atoms (fractional coordinates):
Si1 0.113 0.275 0.243
Si2 0.275 0.113 0.743
Si3 0.725 0.887 0.257
Si4 0.887 0.725 0.757
W1 0.394 0.606 0.750
W2 0.606 0.394 0.250
O1 0.107 0.613 0.796
O2 0.138 0.143 0.463
O3 0.143 0.138 0.963
O4 0.311 0.442 0.361
O5 0.387 0.893 0.704
O6 0.442 0.311 0.861
O7 0.558 0.689 0.139
O8 0.613 0.107 0.296
O9 0.689 0.558 0.639
O10 0.857 0.862 0.037
O11 0.862 0.857 0.537
O12 0.893 0.387 0.204